Zr4Ir2N: calculated XRD peak list (Cu Kα, 1.54184 Å), based on DFT lattice parameters and positions (PBE).
Peak positions follow from Bragg's law for the DFT cell and can differ from measured ones.

Structural model:
a b c (Å): 12.4957 12.4957 12.4957
angles (deg): 90.00 90.00 90.00
Space group Fd-3m (No. 227, origin choice 2)
Asymmetric unit:
Zr 0.0000 0.0000 0.0000 [16 per cell]
Zr 0.0592 0.3750 0.8750 [48 per cell]
Ir 0.0347 0.0347 0.2153 [32 per cell]
N 0.0000 0.0000 0.5000 [16 per cell]

Peak list (10 most intense, 10 to 90 degrees two-theta, in order of rising 2θ)
2θ (°), d (Å), Rel. int., (hkl)
12.3, 7.214, 15, 1 1 1
24.7, 3.607, 16, 2 2 2
35.2, 2.551, 20, 4 2 2
37.4, 2.405, 100, 3 3 3
40.9, 2.209, 25, 4 4 0
43.5, 2.083, 15, 4 4 2
52.3, 1.750, 9, 7 1 1
63.1, 1.473, 27, 6 6 0
68.9, 1.363, 13, 8 4 2
75.7, 1.256, 18, 9 3 3

Na3Ir: calculated XRD peak list (Cu Kα, 1.54184 Å), based on DFT lattice parameters and positions (PBE).
Peak positions follow from Bragg's law for the DFT cell and can differ from measured ones.

Structural model:
a b c (Å): 4.4698 4.4698 8.5809
angles (deg): 90.00 90.00 90.00
Space group I4/mmm (No. 139)
Asymmetric unit:
Na 0.0000 0.0000 0.0000 [2 per cell]
Na 0.0000 0.5000 0.2500 [4 per cell]
Ir 0.0000 0.0000 0.5000 [2 per cell]

Peak list (10 most intense, 10 to 90 degrees two-theta, in order of rising 2θ)
2θ (°), d (Å), Rel. int., (hkl)
20.7, 4.290, 30, 0 0 2
22.4, 3.964, 100, 1 0 1
28.2, 3.161, 28, 1 1 0
35.3, 2.545, 82, 1 1 2
37.3, 2.409, 28, 1 0 3
40.4, 2.235, 28, 2 0 0
46.7, 1.947, 30, 2 1 1
56.1, 1.638, 18, 2 1 3
70.1, 1.343, 21, 3 1 2
72.6, 1.303, 18, 1 1 6

Na2IrO3: calculated XRD peak list (Cu Kα, 1.54184 Å), based on DFT lattice parameters and positions (PBE).
Peak positions follow from Bragg's law for the DFT cell and can differ from measured ones.

Structural model:
a b c (Å): 5.5430 9.5864 5.6397
angles (deg): 90.00 109.42 90.00
Space group C2/m (No. 12)
Asymmetric unit:
Na 0.0000 0.0000 0.0000 [2 per cell]
Na 0.0000 0.1613 0.5000 [4 per cell]
Na 0.0000 0.5000 0.5000 [2 per cell]
Ir 0.0000 0.3331 0.0000 [4 per cell]
O 0.2005 0.5000 0.2062 [4 per cell]
O 0.2455 0.3145 0.7960 [8 per cell]

Peak list (10 most intense, 10 to 90 degrees two-theta, in order of rising 2θ)
2θ (°), d (Å), Rel. int., (hkl)
16.7, 5.319, 100, 0 0 1
18.5, 4.793, 19, 0 2 0
19.3, 4.589, 34, 1 1 0
21.6, 4.120, 26, 1 1 -1
32.8, 2.729, 46, 1 3 0
33.7, 2.660, 28, 0 0 2
34.3, 2.616, 59, 1 3 -1
39.5, 2.282, 29, 2 0 -2
39.7, 2.272, 57, 1 3 1
57.7, 1.599, 27, 3 3 -1

Na4IrO4: calculated XRD peak list (Cu Kα, 1.54184 Å), based on DFT lattice parameters and positions (PBE).
Peak positions follow from Bragg's law for the DFT cell and can differ from measured ones.

Structural model:
a b c (Å): 7.2140 7.2140 4.7666
angles (deg): 90.00 90.00 90.00
Space group I4/m (No. 87)
Asymmetric unit:
Na 0.0926 0.3027 0.0000 [8 per cell]
Ir 0.0000 0.0000 0.5000 [2 per cell]
O 0.0835 0.2559 0.5000 [8 per cell]

Peak list (10 most intense, 10 to 90 degrees two-theta, in order of rising 2θ)
2θ (°), d (Å), Rel. int., (hkl)
17.4, 5.101, 60, 1 1 0
22.4, 3.977, 100, 1 0 1
24.7, 3.607, 24, 2 0 0
33.5, 2.672, 77, 2 1 1
37.7, 2.383, 22, 0 0 2
39.5, 2.281, 40, 1 3 0
49.4, 1.845, 19, 2 3 1
55.8, 1.648, 28, 1 3 2
56.0, 1.642, 17, 1 4 1
67.9, 1.381, 20, 5 0 1

NaIrO3: calculated XRD peak list (Cu Kα, 1.54184 Å), based on DFT lattice parameters and positions (PBE).
Peak positions follow from Bragg's law for the DFT cell and can differ from measured ones.

Structural model:
a b c (Å): 3.1169 10.4084 7.2300
angles (deg): 90.00 90.00 90.00
Space group Cmcm (No. 63)
Asymmetric unit:
Na 0.0000 0.2478 0.2500 [4 per cell]
Ir 0.0000 0.5000 0.0000 [4 per cell]
O 0.0000 0.1133 0.5571 [8 per cell]
O 0.0000 0.4269 0.7500 [4 per cell]

Peak list (10 most intense, 10 to 90 degrees two-theta, in order of rising 2θ)
2θ (°), d (Å), Rel. int., (hkl)
17.0, 5.204, 100, 0 2 0
24.6, 3.615, 39, 0 0 2
29.9, 2.986, 50, 1 1 0
30.1, 2.969, 67, 0 2 2
34.5, 2.602, 17, 0 4 0
38.8, 2.319, 35, 1 3 0
39.1, 2.302, 38, 1 1 2
46.5, 1.952, 37, 1 3 2
59.2, 1.561, 22, 1 5 2
59.8, 1.546, 18, 1 1 4

Rb2Na2IrO4: calculated XRD peak list (Cu Kα, 1.54184 Å), based on DFT lattice parameters and positions (PBE).
Peak positions follow from Bragg's law for the DFT cell and can differ from measured ones.

Structural model:
a b c (Å): 6.3115 11.2561 9.9022
angles (deg): 90.00 114.92 90.00
Space group P2_1/c (No. 14)
Asymmetric unit:
Rb 0.1578 0.1332 0.2780 [4 per cell]
Rb 0.1750 0.6354 0.0036 [4 per cell]
Na 0.0643 0.1089 0.9098 [4 per cell]
Na 0.4370 0.6115 0.4056 [4 per cell]
Ir 0.4903 0.1326 0.7366 [4 per cell]
O 0.2290 0.0447 0.7402 [4 per cell]
O 0.2457 0.7222 0.7605 [4 per cell]
O 0.2850 0.2293 0.5717 [4 per cell]
O 0.2953 0.5422 0.5917 [4 per cell]

Peak list (10 most intense, 10 to 90 degrees two-theta, in order of rising 2θ)
2θ (°), d (Å), Rel. int., (hkl)
15.5, 5.724, 22, 1 0 0
18.6, 4.769, 38, 0 2 1
19.3, 4.596, 32, 1 0 -2
19.8, 4.490, 35, 0 0 2
21.4, 4.149, 46, 1 2 -1
26.9, 3.317, 73, 1 2 1
31.6, 2.834, 100, 1 2 -3
31.8, 2.814, 44, 0 4 0
32.7, 2.739, 55, 2 2 -1
40.2, 2.245, 23, 0 0 4